This entry pairs a crystal structure of CeSmPO2 with its theoretical powder X-ray diffraction pattern. Radiation: Cu Kα X-rays. Structure: DFT lattice parameters and positions (GGA-PBE).
No peak broadening, texture or thermal motion is included.

Atomic structure:
Cell lengths 3.8320, 3.8320, 12.2289 Å; angles 90.00, 90.00, 90.00 degrees
Space group I4mm (No. 107)
Unique sites:
Ce1 0.0000 0.0000 0.0000
Sm1 0.0000 0.0000 0.2940
P1 0.0000 0.0000 0.6433
O1 0.0000 0.5000 0.4004

Most intense lines, 15 to 90 degrees two-theta, low angle first:
2θ/deg, d/Å, I_rel
24.34, 3.657, 45
32.06, 2.792, 100
33.06, 2.710, 42
44.69, 2.028, 27
47.45, 1.916, 23
56.50, 1.629, 16
58.02, 1.590, 13
58.42, 1.580, 36